Theoretical X-ray diffraction stick pattern of K2CdB2O6 for Cu Kα, from a GGA-PBE-relaxed structure.
Intensities are scaled so that the largest is 100.

Structural model:
```
data_K2CdB2O6
_chemical_formula_sum 'K2 Cd1 B2 O6'
_symmetry_space_group_name_H-M 'P -3 m 1'
_symmetry_Int_Tables_number 164
_symmetry_space_group_name_Hall '-P 3 2"'
_cell_length_a 5.6027
_cell_length_b 5.6027
_cell_length_c 6.5513
_cell_angle_alpha 90.00
_cell_angle_beta 90.00
_cell_angle_gamma 120.00
loop_
_atom_site_label
_atom_site_fract_x
_atom_site_fract_y
_atom_site_fract_z
_atom_site_occupancy
K1 0.3333 0.6667 0.3235 1
Cd1 0.0000 0.0000 0.0000 1
B1 0.3333 0.6667 0.7985 1
O1 0.1926 0.3852 0.7886 1
```

The 10 most intense peaks (10° ≤ 2θ ≤ 80°), sorted by position:
- 2θ 13.52, rel. 39, hkl 0 0 1
- 2θ 18.28, rel. 18, hkl 1 0 0
- 2θ 22.81, rel. 100, hkl 0 1 1
- 2θ 31.95, rel. 44, hkl 1 1 0
- 2θ 32.99, rel. 66, hkl 1 0 2
- 2θ 39.61, rel. 40, hkl 2 0 1
- 2θ 46.59, rel. 28, hkl 0 2 2
- 2θ 51.77, rel. 26, hkl 1 2 1
- 2θ 53.18, rel. 21, hkl 1 1 3
- 2θ 57.60, rel. 13, hkl 2 1 2

Theoretical X-ray diffraction stick pattern of KCdB3O6 for Cu Kα, from a GGA-PBE-relaxed structure.
Intensities are scaled so that the largest is 100.

Structural model:
```
data_KCdB3O6
_chemical_formula_sum 'K8 Cd8 B24 O48'
_symmetry_space_group_name_H-M 'C 1 2/c 1'
_symmetry_Int_Tables_number 15
_cell_length_a 7.3032
_cell_length_b 13.4022
_cell_length_c 12.8414
_cell_angle_alpha 90.00
_cell_angle_beta 105.72
_cell_angle_gamma 90.00
loop_
_symmetry_equiv_pos_as_xyz
'x,y,z'
'-x,-y,-z'
'-x,y,-z+1/2'
'x,-y,z+1/2'
'x+1/2,y+1/2,z'
'-x+1/2,-y+1/2,-z'
'-x+1/2,y+1/2,-z+1/2'
'x+1/2,-y+1/2,z+1/2'
loop_
_atom_site_label
_atom_site_fract_x
_atom_site_fract_y
_atom_site_fract_z
_atom_site_occupancy
K1 0.1957 0.0094 0.3694 1
Cd1 0.1774 0.3224 0.8770 1
B1 0.0071 0.3289 0.4114 1
B2 0.2328 0.2369 0.6561 1
B3 0.2457 0.4439 0.3736 1
O1 0.0851 0.4254 0.4126 1
O2 0.1021 0.2492 0.3787 1
O3 0.1422 0.3160 0.6832 1
O4 0.1570 0.3162 0.0617 1
O5 0.1692 0.1388 0.6622 1
O6 0.1814 0.0344 0.1295 1
```

The 10 most intense peaks (10° ≤ 2θ ≤ 80°), sorted by position:
- 2θ 13.21, rel. 32, hkl 0 2 0
- 2θ 14.30, rel. 100, hkl 1 1 -1
- 2θ 15.04, rel. 33, hkl 0 2 1
- 2θ 23.60, rel. 49, hkl 1 3 0
- 2θ 25.34, rel. 44, hkl 2 0 0
- 2θ 25.83, rel. 54, hkl 1 3 -2
- 2θ 28.89, rel. 95, hkl 0 0 4
- 2θ 29.49, rel. 47, hkl 1 3 2
- 2θ 35.72, rel. 28, hkl 1 1 -5
- 2θ 43.62, rel. 28, hkl 3 3 0

Theoretical X-ray diffraction stick pattern of LaCd2B2O6 for Cu Kα, from a GGA-PBE-relaxed structure.
Intensities are scaled so that the largest is 100.

Structural model:
```
data_LaCd2B2O6
_chemical_formula_sum 'La1 Cd2 B2 O6'
_symmetry_space_group_name_H-M 'P -3'
_symmetry_Int_Tables_number 147
_cell_length_a 5.2525
_cell_length_b 5.2525
_cell_length_c 7.3016
_cell_angle_alpha 90.00
_cell_angle_beta 90.00
_cell_angle_gamma 120.00
loop_
_symmetry_equiv_pos_as_xyz
'x,y,z'
'-x,-y,-z'
'-y,x-y,z'
'y,-x+y,-z'
'-x+y,-x,z'
'x-y,x,-z'
loop_
_atom_site_label
_atom_site_fract_x
_atom_site_fract_y
_atom_site_fract_z
_atom_site_occupancy
La1 0.0000 0.0000 0.0000 1
Cd1 0.3333 0.6667 0.3447 1
B1 0.3333 0.6667 0.7910 1
O1 0.0757 0.6793 0.7935 1
```

The 10 most intense peaks (10° ≤ 2θ ≤ 80°), sorted by position:
- 2θ 23.04, rel. 100, hkl 0 1 1
- 2θ 31.42, rel. 69, hkl 1 0 2
- 2θ 34.14, rel. 40, hkl 1 1 0
- 2θ 41.59, rel. 29, hkl 2 0 1
- 2θ 47.07, rel. 17, hkl 0 2 2
- 2θ 51.17, rel. 30, hkl 1 1 3
- 2θ 54.14, rel. 13, hkl 0 1 4
- 2θ 54.86, rel. 24, hkl 1 2 1
- 2θ 59.42, rel. 17, hkl 3 -1 2
- 2θ 61.12, rel. 11, hkl 3 0 0

Theoretical X-ray diffraction stick pattern of LiCdBO3 for Cu Kα, from a GGA-PBE-relaxed structure.
Intensities are scaled so that the largest is 100.

Structural model:
```
data_LiCdBO3
_chemical_formula_sum 'Li2 Cd2 B2 O6'
_symmetry_space_group_name_H-M 'P -1'
_symmetry_Int_Tables_number 2
_cell_length_a 5.2757
_cell_length_b 5.3080
_cell_length_c 6.2659
_cell_angle_alpha 89.76
_cell_angle_beta 68.07
_cell_angle_gamma 61.01
loop_
_symmetry_equiv_pos_as_xyz
'x,y,z'
'-x,-y,-z'
loop_
_atom_site_label
_atom_site_fract_x
_atom_site_fract_y
_atom_site_fract_z
_atom_site_occupancy
Li1 0.0689 0.3632 0.1636 1
Cd1 0.3432 0.7417 0.2697 1
B1 0.3010 0.9335 0.7682 1
O1 0.1260 0.8619 0.6846 1
O2 0.2268 0.2225 0.8071 1
O3 0.4584 0.2866 0.1817 1
```

The 10 most intense peaks (10° ≤ 2θ ≤ 80°), sorted by position:
- 2θ 20.05, rel. 88, hkl 1 1 0
- 2θ 20.35, rel. 39, hkl 1 0 1
- 2θ 21.27, rel. 34, hkl 1 0 0
- 2θ 22.30, rel. 100, hkl 0 1 -1
- 2θ 27.75, rel. 35, hkl 0 1 1
- 2θ 29.62, rel. 27, hkl 1 0 2
- 2θ 31.54, rel. 91, hkl 0 0 2
- 2θ 33.44, rel. 28, hkl 1 -1 1
- 2θ 39.12, rel. 29, hkl 2 0 1
- 2θ 39.79, rel. 33, hkl 0 2 0

Theoretical X-ray diffraction stick pattern of LiCdBO3 for Cu Kα, from a GGA-PBE-relaxed structure.
Intensities are scaled so that the largest is 100.

Structural model:
```
data_LiCdBO3
_chemical_formula_sum 'Li3 Cd3 B3 O9'
_symmetry_space_group_name_H-M 'P -6'
_symmetry_Int_Tables_number 174
_cell_length_a 8.4315
_cell_length_b 8.4315
_cell_length_c 3.3154
_cell_angle_alpha 90.00
_cell_angle_beta 90.00
_cell_angle_gamma 120.00
loop_
_symmetry_equiv_pos_as_xyz
'x,y,z'
'-x+y,-x,-z'
'-y,x-y,z'
'x,y,-z'
'-x+y,-x,z'
'-y,x-y,-z'
loop_
_atom_site_label
_atom_site_fract_x
_atom_site_fract_y
_atom_site_fract_z
_atom_site_occupancy
Li1 0.0507 0.3758 0.0000 1
Cd1 0.3382 0.3025 0.5000 1
B1 0.0000 0.0000 0.0000 1
B2 0.3333 0.6667 0.5000 1
B3 0.6667 0.3333 0.0000 1
O1 0.1900 0.0848 0.0000 1
O2 0.2085 0.4788 0.5000 1
O3 0.5602 0.4171 0.0000 1
```

The 10 most intense peaks (10° ≤ 2θ ≤ 80°), sorted by position:
- 2θ 21.07, rel. 100, hkl 1 1 0
- 2θ 26.89, rel. 16, hkl 0 0 1
- 2θ 32.44, rel. 12, hkl 1 2 0
- 2θ 34.41, rel. 80, hkl 1 1 1
- 2θ 36.93, rel. 24, hkl 3 0 0
- 2θ 42.91, rel. 18, hkl 2 2 0
- 2θ 46.27, rel. 28, hkl 3 0 1
- 2θ 51.37, rel. 20, hkl 2 2 1
- 2θ 52.98, rel. 12, hkl 3 1 1
- 2θ 64.93, rel. 12, hkl 1 4 1

Theoretical X-ray diffraction stick pattern of Mg6CdB for Cu Kα, from a GGA-PBE-relaxed structure.
Intensities are scaled so that the largest is 100.

Structural model:
```
data_Mg6CdB
_chemical_formula_sum 'Mg12 Cd2 B2'
_symmetry_space_group_name_H-M 'A m m 2'
_symmetry_Int_Tables_number 38
_cell_length_a 3.7383
_cell_length_b 8.8248
_cell_length_c 9.8921
_cell_angle_alpha 90.00
_cell_angle_beta 90.00
_cell_angle_gamma 90.00
loop_
_symmetry_equiv_pos_as_xyz
'x,y,z'
'-x,-y,z'
'-x,y,z'
'x,-y,z'
'x,y+1/2,z+1/2'
'-x,-y+1/2,z+1/2'
'-x,y+1/2,z+1/2'
'x,-y+1/2,z+1/2'
loop_
_atom_site_label
_atom_site_fract_x
_atom_site_fract_y
_atom_site_fract_z
_atom_site_occupancy
Mg1 0.0000 0.0000 0.0000 1
Mg2 0.0000 0.0000 0.4511 1
Mg3 0.0000 0.1718 0.7229 1
Mg4 0.5000 0.2455 0.4829 1
Cd1 0.5000 0.0000 0.2227 1
B1 0.5000 0.0000 0.6124 1
```

The 10 most intense peaks (10° ≤ 2θ ≤ 80°), sorted by position:
- 2θ 13.45, rel. 59, hkl 0 1 1
- 2θ 20.12, rel. 14, hkl 0 2 0
- 2θ 27.08, rel. 12, hkl 0 2 2
- 2θ 27.43, rel. 43, hkl 1 1 1
- 2θ 31.74, rel. 27, hkl 0 3 1
- 2θ 36.35, rel. 100, hkl 0 0 4
- 2θ 37.78, rel. 33, hkl 1 1 3
- 2θ 41.12, rel. 10, hkl 0 3 3
- 2θ 48.72, rel. 12, hkl 2 0 0
- 2θ 65.40, rel. 15, hkl 1 2 6

Theoretical X-ray diffraction stick pattern of Mg14CdB for Cu Kα, from a GGA-PBE-relaxed structure.
Intensities are scaled so that the largest is 100.

Structural model:
```
data_Mg14CdB
_chemical_formula_sum 'Mg28 Cd2 B2'
_symmetry_space_group_name_H-M 'A m m 2'
_symmetry_Int_Tables_number 38
_cell_length_a 8.9888
_cell_length_b 7.6192
_cell_length_c 10.1473
_cell_angle_alpha 90.00
_cell_angle_beta 90.00
_cell_angle_gamma 90.00
loop_
_symmetry_equiv_pos_as_xyz
'x,y,z'
'-x,-y,z'
'-x,y,z'
'x,-y,z'
'x,y+1/2,z+1/2'
'-x,-y+1/2,z+1/2'
'-x,y+1/2,z+1/2'
'x,-y+1/2,z+1/2'
loop_
_atom_site_label
_atom_site_fract_x
_atom_site_fract_y
_atom_site_fract_z
_atom_site_occupancy
Mg1 0.0000 0.0000 0.0000 1
Mg2 0.0000 0.0000 0.4670 1
Mg3 0.0000 0.2071 0.7397 1
Mg4 0.2239 0.0000 0.2267 1
Mg5 0.2799 0.0000 0.6657 1
Mg6 0.3074 0.1912 0.9356 1
Mg7 0.5000 0.2185 0.1926 1
Cd1 0.5000 0.0000 0.4459 1
B1 0.5000 0.0000 0.8164 1
```

The 10 most intense peaks (10° ≤ 2θ ≤ 80°), sorted by position:
- 2θ 14.54, rel. 22, hkl 0 1 1
- 2θ 17.58, rel. 36, hkl 1 1 1
- 2θ 24.61, rel. 23, hkl 2 1 1
- 2θ 33.32, rel. 19, hkl 3 1 1
- 2θ 35.24, rel. 33, hkl 2 1 3
- 2θ 35.38, rel. 25, hkl 0 0 4
- 2θ 35.60, rel. 100, hkl 2 2 2
- 2θ 36.47, rel. 17, hkl 0 3 1
- 2θ 37.86, rel. 14, hkl 1 3 1
- 2θ 40.13, rel. 16, hkl 4 0 0